Diffraction record for Rb2LiPaBr6. The XRD peak list is computed, not measured: it uses DFT lattice parameters and positions (PBE) and λ = 1.5418 Å (Cu Kα).
Neutral-atom scattering factors, no anomalous dispersion.

Peak list (6 most intense, 2θ from 10° to 90°, by intensity)
2theta, Rel. int.
31.61, 100
45.30, 72
27.28, 47
13.54, 47
26.10, 41
22.21, 34

Atomic structure:
Cell lengths 8.005, 8.005, 8.004 Å; angles 119.99, 119.99, 60.09 degrees
Sites, in units of the cell vectors:
Rb: 0.249 0.249 0.252
Rb: 0.751 0.751 0.748
Li: 0.500 0.500 0.000
Pa: 0.000 0.000 0.500
Br: 0.257 0.257 0.758
Br: 0.257 0.743 0.244
Br: 0.257 0.743 0.756
Br: 0.743 0.257 0.244
Br: 0.743 0.257 0.756
Br: 0.743 0.743 0.242